1.
Structure and computed PXRD pattern of Ni19Se20 (the GGA-PBE geometry in Alexandria; copper Kα).

Atomic structure:
Unit cell a=7.382 b=9.022 c=11.051 alpha=105.73 beta=99.65 gamma=113.99
Space group P-1 (No. 2)
Inequivalent atoms, fractional coordinates:
Ni: 0.000 0.000 0.000 (multiplicity 1)
Ni: 0.000 0.303 0.395 (multiplicity 2)
Ni: 0.001 0.107 0.802 (multiplicity 2)
Ni: 0.002 0.408 0.191 (multiplicity 2)
Ni: 0.010 0.205 0.599 (multiplicity 2)
Ni: 0.490 0.892 0.196 (multiplicity 2)
Ni: 0.493 0.590 0.795 (multiplicity 2)
Ni: 0.495 0.203 0.600 (multiplicity 2)
Ni: 0.498 0.294 0.397 (multiplicity 2)
Ni: 0.500 0.000 0.000 (multiplicity 1)
Ni: 0.500 0.500 0.000 (multiplicity 1)
Se: 0.166 0.618 0.432 (multiplicity 2)
Se: 0.167 0.016 0.635 (multiplicity 2)
Se: 0.167 0.218 0.230 (multiplicity 2)
Se: 0.167 0.820 0.030 (multiplicity 2)
Se: 0.168 0.417 0.830 (multiplicity 2)
Se: 0.331 0.383 0.558 (multiplicity 2)
Se: 0.331 0.982 0.366 (multiplicity 2)
Se: 0.333 0.782 0.769 (multiplicity 2)
Se: 0.335 0.188 0.965 (multiplicity 2)
Se: 0.337 0.584 0.171 (multiplicity 2)

Principal peaks in the range 5 to 70 degrees two-theta, sorted by position:
| index | 2theta | intensity |
| --- | --- | --- |
| -2 2 1 | 27.92 | 10 |
| 0 1 3 | 32.87 | 100 |
| 2 -3 1 | 32.93 | 22 |
| 2 2 -4 | 44.87 | 36 |
| 0 0 5 | 44.92 | 72 |
| -4 2 1 | 49.37 | 52 |
| -2 4 2 | 49.46 | 26 |
| 4 -1 2 | 60.55 | 7 |
| 2 1 -7 | 60.68 | 27 |
| -4 2 6 | 68.96 | 19 |

2.
Structure and computed PXRD pattern of Ni3Se2 (the GGA-PBE geometry in Alexandria; copper Kα).

Atomic structure:
Unit cell a=6.0356 b=6.0356 c=7.2609 alpha=90.00 beta=90.00 gamma=120.00
Space group R32 (No. 155, hexagonal axes)
Inequivalent atoms, fractional coordinates:
Ni: 0.0000 0.7522 0.0000 (multiplicity 9)
Se: 0.0000 0.0000 0.2578 (multiplicity 6)

Principal peaks in the range 5 to 70 degrees two-theta, sorted by position:
| index | 2theta | intensity |
| --- | --- | --- |
| 1 0 1 | 20.94 | 33 |
| 1 1 0 | 29.60 | 100 |
| 0 1 2 | 29.97 | 31 |
| 0 0 3 | 37.15 | 33 |
| 2 0 2 | 42.63 | 70 |
| 2 1 1 | 47.71 | 46 |
| 1 1 3 | 48.20 | 35 |
| 3 0 0 | 52.52 | 36 |
| 1 2 2 | 52.75 | 100 |
| 1 0 4 | 53.43 | 35 |

3.
Structure and computed PXRD pattern of NiSe4 (the GGA-PBE geometry in Alexandria; copper Kα).

Atomic structure:
Unit cell a=6.844 b=4.903 c=6.840 alpha=90.00 beta=91.62 gamma=90.00
Space group P2_1/c (No. 14)
Inequivalent atoms, fractional coordinates:
Ni: 0.000 0.000 0.000 (multiplicity 2)
Se: 0.177 0.189 0.728 (multiplicity 4)
Se: 0.267 0.683 0.031 (multiplicity 4)

Principal peaks in the range 5 to 70 degrees two-theta, sorted by position:
| index | 2theta | intensity |
| --- | --- | --- |
| 1 0 0 | 12.94 | 86 |
| 2 0 0 | 26.06 | 87 |
| 2 1 0 | 31.90 | 30 |
| 1 1 -2 | 34.28 | 100 |
| 1 1 2 | 34.85 | 94 |
| 1 2 -1 | 41.16 | 24 |
| 2 2 0 | 45.52 | 39 |
| 3 1 -2 | 51.03 | 24 |
| 0 0 4 | 53.61 | 23 |
| 4 1 0 | 57.05 | 26 |

4.
Structure and computed PXRD pattern of Ni3Se (the GGA-PBE geometry in Alexandria; copper Kα).

Atomic structure:
Unit cell a=5.1616 b=5.1616 c=4.2279 alpha=90.00 beta=90.00 gamma=120.00
Space group P6_3/mmc (No. 194)
Inequivalent atoms, fractional coordinates:
Ni: 0.1634 0.3267 0.2500 (multiplicity 6)
Se: 0.3333 0.6667 0.7500 (multiplicity 2)

Principal peaks in the range 5 to 70 degrees two-theta, sorted by position:
| index | 2theta | intensity |
| --- | --- | --- |
| 1 0 1 | 29.07 | 1 |
| 2 0 0 | 40.35 | 25 |
| 0 0 2 | 42.78 | 28 |
| 2 0 1 | 45.93 | 100 |
| 2 0 2 | 60.26 | 14 |

5.
Structure and computed PXRD pattern of Ni6SnSe2 (the GGA-PBE geometry in Alexandria; copper Kα).

Atomic structure:
Unit cell a=3.707 b=3.707 c=18.724 alpha=90.00 beta=90.00 gamma=90.00
Space group I4mm (No. 107)
Inequivalent atoms, fractional coordinates:
Ni: 0.000 0.000 0.000 (multiplicity 2)
Ni: 0.000 0.000 0.299 (multiplicity 2)
Ni: 0.000 0.500 0.198 (multiplicity 4)
Ni: 0.000 0.500 0.401 (multiplicity 4)
Sn: 0.000 0.000 0.800 (multiplicity 2)
Se: 0.000 0.000 0.122 (multiplicity 2)
Se: 0.000 0.000 0.484 (multiplicity 2)

Principal peaks in the range 5 to 70 degrees two-theta, sorted by position:
| index | 2theta | intensity |
| --- | --- | --- |
| 0 0 2 | 9.45 | 46 |
| 1 0 3 | 28.00 | 31 |
| 0 0 6 | 28.61 | 8 |
| 1 1 0 | 34.21 | 8 |
| 1 1 4 | 39.40 | 79 |
| 1 1 6 | 45.18 | 100 |
| 0 0 10 | 48.63 | 21 |
| 2 0 0 | 49.16 | 57 |
| 1 0 9 | 50.29 | 9 |
| 2 1 3 | 57.53 | 9 |

6.
Structure and computed PXRD pattern of Ni2SnSe2 (the GGA-PBE geometry in Alexandria; copper Kα).

Atomic structure:
Unit cell a=3.8076 b=3.8076 c=24.5777 alpha=90.00 beta=90.00 gamma=120.00
Space group R-3m (No. 166, hexagonal axes)
Inequivalent atoms, fractional coordinates:
Ni: 0.0000 0.0000 0.0919 (multiplicity 6)
Sn: 0.0000 0.0000 0.5000 (multiplicity 3)
Se: 0.0000 0.0000 0.2687 (multiplicity 6)

Principal peaks in the range 5 to 70 degrees two-theta, sorted by position:
| index | 2theta | intensity |
| --- | --- | --- |
| 0 0 3 | 10.80 | 26 |
| 0 0 6 | 21.70 | 12 |
| 1 0 4 | 30.77 | 28 |
| 0 1 5 | 32.71 | 100 |
| 0 1 8 | 40.12 | 19 |
| 1 0 10 | 46.06 | 9 |
| 1 1 0 | 47.77 | 46 |
| 1 0 13 | 56.07 | 10 |
| 2 0 5 | 59.12 | 28 |
| 1 1 12 | 67.13 | 12 |

7.
Structure and computed PXRD pattern of TaNiSe3 (the GGA-PBE geometry in Alexandria; copper Kα).

Atomic structure:
Unit cell a=3.514 b=22.639 c=6.052 alpha=90.00 beta=90.00 gamma=90.00
Space group Ama2 (No. 40)
Inequivalent atoms, fractional coordinates:
Ta: 0.250 0.167 0.000 (multiplicity 4)
Ni: 0.250 0.366 0.832 (multiplicity 4)
Se: 0.250 0.074 0.222 (multiplicity 4)
Se: 0.250 0.268 0.700 (multiplicity 4)
Se: 0.250 0.371 0.222 (multiplicity 4)

Principal peaks in the range 5 to 70 degrees two-theta, sorted by position:
| index | 2theta | intensity |
| --- | --- | --- |
| 0 2 0 | 7.81 | 100 |
| 0 1 1 | 15.15 | 26 |
| 0 4 0 | 15.66 | 43 |
| 0 3 1 | 18.80 | 36 |
| 1 1 1 | 29.66 | 33 |
| 1 3 1 | 31.74 | 30 |
| 1 5 1 | 35.58 | 29 |
| 1 2 2 | 40.12 | 24 |
| 1 4 2 | 42.54 | 31 |
| 1 10 0 | 47.79 | 29 |

8.
Structure and computed PXRD pattern of Ta2NiSe7 (the GGA-PBE geometry in Alexandria; copper Kα).

Atomic structure:
Unit cell a=15.324 b=3.506 c=18.749 alpha=90.00 beta=107.88 gamma=90.00
Space group C2/m (No. 12)
Inequivalent atoms, fractional coordinates:
Ta: 0.162 0.000 0.399 (multiplicity 4)
Ta: 0.236 0.000 0.091 (multiplicity 4)
Ni: 0.201 0.500 0.211 (multiplicity 4)
Se: 0.041 0.500 0.417 (multiplicity 4)
Se: 0.084 0.500 0.295 (multiplicity 4)
Se: 0.103 0.000 0.142 (multiplicity 4)
Se: 0.146 0.500 0.991 (multiplicity 4)
Se: 0.157 0.000 0.827 (multiplicity 4)
Se: 0.202 0.000 0.554 (multiplicity 4)
Se: 0.236 0.500 0.699 (multiplicity 4)

Principal peaks in the range 5 to 70 degrees two-theta, sorted by position:
| index | 2theta | intensity |
| --- | --- | --- |
| 2 0 0 | 12.14 | 100 |
| 2 0 1 | 14.46 | 44 |
| 1 1 3 | 31.16 | 37 |
| 4 0 -6 | 32.49 | 22 |
| 3 1 1 | 32.77 | 21 |
| 1 1 4 | 34.23 | 30 |
| 6 0 -5 | 37.85 | 21 |
| 5 1 -2 | 39.04 | 25 |
| 3 1 4 | 40.57 | 39 |
| 3 1 -9 | 51.22 | 21 |

9.
Structure and computed PXRD pattern of TaNi2TeSe (the GGA-PBE geometry in Alexandria; copper Kα).

Atomic structure:
Unit cell a=6.560 b=3.472 c=17.559 alpha=90.00 beta=90.00 gamma=90.00
Space group Pnma (No. 62)
Inequivalent atoms, fractional coordinates:
Ta: 0.094 0.250 0.224 (multiplicity 4)
Ni: 0.099 0.250 0.684 (multiplicity 4)
Ni: 0.214 0.250 0.816 (multiplicity 4)
Te: 0.093 0.250 0.396 (multiplicity 4)
Se: 0.093 0.750 0.110 (multiplicity 4)

Principal peaks in the range 5 to 70 degrees two-theta, sorted by position:
| index | 2theta | intensity |
| --- | --- | --- |
| 0 0 2 | 10.08 | 100 |
| 2 0 1 | 27.67 | 17 |
| 1 1 4 | 35.70 | 20 |
| 0 1 5 | 36.39 | 9 |
| 2 1 0 | 37.73 | 18 |
| 1 1 5 | 38.98 | 15 |
| 2 1 2 | 39.15 | 15 |
| 1 1 6 | 42.69 | 22 |
| 2 0 7 | 45.53 | 14 |
| 0 2 0 | 52.73 | 10 |

10.
Structure and computed PXRD pattern of Ni5TeSe8 (the GGA-PBE geometry in Alexandria; copper Kα).

Atomic structure:
Unit cell a=18.682 b=3.605 c=8.213 alpha=90.00 beta=104.60 gamma=90.00
Space group Cm (No. 8)
Inequivalent atoms, fractional coordinates:
Ni: 0.000 0.000 0.000 (multiplicity 2)
Ni: 0.038 0.000 0.340 (multiplicity 2)
Ni: 0.136 0.500 0.685 (multiplicity 2)
Ni: 0.176 0.500 0.022 (multiplicity 2)
Ni: 0.338 0.000 0.021 (multiplicity 2)
Te: 0.337 0.500 0.457 (multiplicity 2)
Se: 0.013 0.500 0.509 (multiplicity 2)
Se: 0.076 0.500 0.160 (multiplicity 2)
Se: 0.101 0.000 0.856 (multiplicity 2)
Se: 0.161 0.000 0.517 (multiplicity 2)
Se: 0.250 0.000 0.192 (multiplicity 2)
Se: 0.267 0.500 0.860 (multiplicity 2)
Se: 0.407 0.500 0.185 (multiplicity 2)
Se: 0.427 0.000 0.857 (multiplicity 2)

Principal peaks in the range 5 to 70 degrees two-theta, sorted by position:
| index | 2theta | intensity |
| --- | --- | --- |
| 0 0 1 | 11.13 | 14 |
| 3 1 1 | 32.41 | 100 |
| 6 0 1 | 34.37 | 59 |
| 6 0 -3 | 39.18 | 24 |
| 6 0 2 | 41.94 | 31 |
| 3 1 3 | 48.04 | 29 |
| 0 2 0 | 50.65 | 23 |
| 9 1 -1 | 50.75 | 42 |
| 3 1 -4 | 51.34 | 13 |
| 6 0 4 | 62.10 | 11 |

11.
Structure and computed PXRD pattern of Ni3Te2Se2 (the GGA-PBE geometry in Alexandria; copper Kα).

Atomic structure:
Unit cell a=3.539 b=6.131 c=6.535 alpha=98.11 beta=90.02 gamma=106.73
Space group P-1 (No. 2)
Inequivalent atoms, fractional coordinates:
Ni: 0.000 0.000 0.000 (multiplicity 1)
Ni: 0.245 0.488 0.752 (multiplicity 2)
Te: 0.126 0.253 0.383 (multiplicity 2)
Se: 0.367 0.735 0.081 (multiplicity 2)

Principal peaks in the range 5 to 70 degrees two-theta, sorted by position:
| index | 2theta | intensity |
| --- | --- | --- |
| 0 1 -1 | 18.98 | 12 |
| 1 0 0 | 26.33 | 11 |
| -1 1 1 | 30.33 | 17 |
| 0 1 2 | 33.67 | 52 |
| 1 1 -1 | 35.77 | 100 |
| 1 0 -3 | 49.14 | 33 |
| 1 2 1 | 50.73 | 33 |
| 0 3 -2 | 51.29 | 24 |
| 2 -1 0 | 51.66 | 17 |
| -2 2 2 | 63.09 | 16 |

12.
Structure and computed PXRD pattern of Th4NiSe3 (the GGA-PBE geometry in Alexandria; copper Kα).

Atomic structure:
Unit cell a=7.314 b=8.418 c=7.209 alpha=90.00 beta=109.07 gamma=90.00
Space group P2/c (No. 13)
Inequivalent atoms, fractional coordinates:
Th: 0.228 0.112 0.006 (multiplicity 4)
Th: 0.238 0.368 0.488 (multiplicity 4)
Ni: 0.000 0.130 0.250 (multiplicity 2)
Se: 0.000 0.371 0.750 (multiplicity 2)
Se: 0.500 0.131 0.750 (multiplicity 2)
Se: 0.500 0.375 0.250 (multiplicity 2)

Principal peaks in the range 5 to 70 degrees two-theta, sorted by position:
| index | 2theta | intensity |
| --- | --- | --- |
| 2 0 0 | 25.78 | 16 |
| 1 2 -1 | 25.98 | 33 |
| 0 0 2 | 26.16 | 17 |
| 1 2 1 | 30.01 | 100 |
| 2 0 -2 | 30.23 | 48 |
| 2 0 2 | 42.89 | 54 |
| 0 4 0 | 42.98 | 18 |
| 1 2 -3 | 43.36 | 36 |
| 2 4 -2 | 53.44 | 19 |
| 2 4 2 | 62.37 | 12 |